[1]
Diffraction record for ScMoRh2. The powder X-ray diffraction pattern is simulated, not measured: it uses DFT lattice parameters and positions (GGA-PBE) and CuKα.
Kinematic intensities with the Lorentz-polarization factor, no thermal factor.

Most intense lines, 2θ = 10–80°, in order of falling intensity:
- 2.284 Å, I = 100, hkl 1 1 -1
- 2.068 Å, I = 69, hkl 1 1 1
- 2.272 Å, I = 68, hkl 0 2 0
- 2.142 Å, I = 55, hkl 0 1 2
- 2.429 Å, I = 44, hkl 0 0 2
- 2.422 Å, I = 28, hkl 1 1 0

```
data_ScMoRh2
_cell_length_a 2.8941
_cell_length_b 4.5438
_cell_length_c 4.9116
_cell_angle_alpha 90.00
_cell_angle_beta 98.43
_cell_angle_gamma 90.00
_space_group_name_H-M_alt 'P 1 m 1'
_space_group_IT_number 6
_space_group_name_Hall 'P -2y'
loop_
_atom_site_label
_atom_site_type_symbol
_atom_site_fract_x
_atom_site_fract_y
_atom_site_fract_z
_atom_site_occupancy
Sc1 Sc 0.0000 0.0000 0.0000 1
Mo1 Mo 0.8021 0.5000 0.3971 1
Rh1 Rh 0.3780 0.0000 0.5196 1
Rh2 Rh 0.4597 0.5000 0.8884 1
```

***

[2]
Diffraction record for ScMoRh. The powder X-ray diffraction pattern is simulated, not measured: it uses DFT lattice parameters and positions (GGA-PBE) and CuKα.
Kinematic intensities with the Lorentz-polarization factor, no thermal factor.

Most intense lines, 2θ = 10–80°, in order of falling intensity:
- 2.297 Å, I = 100, hkl 0 1 1
- 2.248 Å, I = 97, hkl 1 1 0
- 1.607 Å, I = 31, hkl 2 0 1
- 1.307 Å, I = 31, hkl 1 2 1
- 3.893 Å, I = 23, hkl 1 0 0
- 1.336 Å, I = 19, hkl 1 0 2

```
data_ScMoRh
_cell_length_a 4.4952
_cell_length_b 4.4952
_cell_length_c 2.8459
_cell_angle_alpha 90.00
_cell_angle_beta 90.00
_cell_angle_gamma 120.00
_space_group_name_H-M_alt 'P 3 m 1'
_space_group_IT_number 156
_space_group_name_Hall 'P 3 -2"'
loop_
_atom_site_label
_atom_site_type_symbol
_atom_site_fract_x
_atom_site_fract_y
_atom_site_fract_z
_atom_site_occupancy
Sc1 Sc 0.0000 0.0000 0.0000 1
Mo1 Mo 0.3333 0.6667 0.3681 1
Rh1 Rh 0.6667 0.3333 0.6276 1
```

***

[3]
Diffraction record for ScMo2Rh9. The powder X-ray diffraction pattern is simulated, not measured: it uses DFT lattice parameters and positions (GGA-PBE) and CuKα.
Kinematic intensities with the Lorentz-polarization factor, no thermal factor.

Most intense lines, 2θ = 10–80°, in order of falling intensity:
- 2.257 Å, I = 100, hkl 1 2 -1
- 2.269 Å, I = 100, hkl 0 1 -3
- 2.250 Å, I = 99, hkl -1 2 1
- 2.236 Å, I = 98, hkl 2 -1 1
- 1.966 Å, I = 65, hkl 2 0 -2
- 1.938 Å, I = 64, hkl 1 -3 2

```
data_ScMo2Rh9
_cell_length_a 4.7616
_cell_length_b 6.1344
_cell_length_c 6.8089
_cell_angle_alpha 111.30
_cell_angle_beta 90.92
_cell_angle_gamma 104.33
_space_group_name_H-M_alt 'P -1'
_space_group_IT_number 2
_space_group_name_Hall '-P 1'
loop_
_atom_site_label
_atom_site_type_symbol
_atom_site_fract_x
_atom_site_fract_y
_atom_site_fract_z
_atom_site_occupancy
Sc1 Sc 0.0000 0.0000 0.0000 1
Mo1 Mo 0.0895 0.7473 0.5605 1
Rh1 Rh 0.1684 0.5129 0.1709 1
Rh2 Rh 0.2544 0.2492 0.7422 1
Rh3 Rh 0.3368 0.0101 0.3328 1
Rh4 Rh 0.4023 0.7432 0.9107 1
Rh5 Rh 0.5000 0.5000 0.5000 1
```

***

[4]
Diffraction record for ScTc2MoRh. The powder X-ray diffraction pattern is simulated, not measured: it uses DFT lattice parameters and positions (GGA-PBE) and CuKα.
Kinematic intensities with the Lorentz-polarization factor, no thermal factor.

Most intense lines, 2θ = 10–80°, in order of falling intensity:
- 2.321 Å, I = 100, hkl 2 0 0
- 2.694 Å, I = 98, hkl 1 1 1
- 4.641 Å, I = 77, hkl 1 0 0
- 1.654 Å, I = 68, hkl 2 0 2
- 2.359 Å, I = 53, hkl 0 0 2
- 4.719 Å, I = 35, hkl 0 0 1

```
data_ScTc2MoRh
_cell_length_a 4.6411
_cell_length_b 4.6411
_cell_length_c 4.7185
_cell_angle_alpha 90.00
_cell_angle_beta 90.00
_cell_angle_gamma 90.00
_space_group_name_H-M_alt 'P 4/m m m'
_space_group_IT_number 123
_space_group_name_Hall '-P 4 2'
loop_
_atom_site_label
_atom_site_type_symbol
_atom_site_fract_x
_atom_site_fract_y
_atom_site_fract_z
_atom_site_occupancy
Sc1 Sc 0.0000 0.0000 0.0000 1
Tc1 Tc 0.0000 0.5000 0.5000 1
Mo1 Mo 0.5000 0.5000 0.5000 1
Rh1 Rh 0.5000 0.5000 0.0000 1
```

***

[5]
Diffraction record for SnMoRh2. The powder X-ray diffraction pattern is simulated, not measured: it uses DFT lattice parameters and positions (GGA-PBE) and CuKα.
Kinematic intensities with the Lorentz-polarization factor, no thermal factor.

Most intense lines, 2θ = 10–80°, in order of falling intensity:
- 2.310 Å, I = 100, hkl 1 0 2
- 2.052 Å, I = 35, hkl 1 1 0
- 1.229 Å, I = 27, hkl 2 1 2
- 1.397 Å, I = 20, hkl 1 1 4
- 1.907 Å, I = 14, hkl 0 0 4
- 1.451 Å, I = 11, hkl 2 0 0

```
data_SnMoRh2
_cell_length_a 2.9024
_cell_length_b 2.9024
_cell_length_c 7.6276
_cell_angle_alpha 90.00
_cell_angle_beta 90.00
_cell_angle_gamma 90.00
_space_group_name_H-M_alt 'P 4/m m m'
_space_group_IT_number 123
_space_group_name_Hall '-P 4 2'
loop_
_atom_site_label
_atom_site_type_symbol
_atom_site_fract_x
_atom_site_fract_y
_atom_site_fract_z
_atom_site_occupancy
Sn1 Sn 0.0000 0.0000 0.0000 1
Mo1 Mo 0.0000 0.0000 0.5000 1
Rh1 Rh 0.5000 0.5000 0.2592 1
```

***

[6]
Diffraction record for Ta4Mo3Rh. The powder X-ray diffraction pattern is simulated, not measured: it uses DFT lattice parameters and positions (GGA-PBE) and CuKα.
Kinematic intensities with the Lorentz-polarization factor, no thermal factor.

Most intense lines, 2θ = 10–80°, in order of falling intensity:
- 2.280 Å, I = 100, hkl 1 1 2
- 1.318 Å, I = 21, hkl 2 2 0
- 2.269 Å, I = 20, hkl 0 0 4
- 1.312 Å, I = 14, hkl 1 1 6
- 1.609 Å, I = 13, hkl 0 2 4
- 3.222 Å, I = 12, hkl 0 1 2

```
data_Ta4Mo3Rh
_cell_length_a 3.2276
_cell_length_b 4.5667
_cell_length_c 9.0744
_cell_angle_alpha 90.00
_cell_angle_beta 90.00
_cell_angle_gamma 90.00
_space_group_name_H-M_alt 'P m m m'
_space_group_IT_number 47
_space_group_name_Hall '-P 2 2'
loop_
_atom_site_label
_atom_site_type_symbol
_atom_site_fract_x
_atom_site_fract_y
_atom_site_fract_z
_atom_site_occupancy
Ta1 Ta 0.0000 0.0000 0.0000 1
Ta2 Ta 0.0000 0.0000 0.5000 1
Ta3 Ta 0.0000 0.5000 0.2480 1
Mo1 Mo 0.5000 0.0000 0.2556 1
Mo2 Mo 0.5000 0.5000 0.0000 1
Rh1 Rh 0.5000 0.5000 0.5000 1
```

***

[7]
Diffraction record for TiMoRh. The powder X-ray diffraction pattern is simulated, not measured: it uses DFT lattice parameters and positions (GGA-PBE) and CuKα.
Kinematic intensities with the Lorentz-polarization factor, no thermal factor.

Most intense lines, 2θ = 10–80°, in order of falling intensity:
- 2.212 Å, I = 100, hkl 1 1 3
- 2.221 Å, I = 26, hkl 2 0 0
- 1.281 Å, I = 24, hkl 2 2 0
- 2.192 Å, I = 23, hkl 0 0 6
- 1.560 Å, I = 15, hkl 2 0 6
- 1.269 Å, I = 14, hkl 1 1 9

```
data_TiMoRh
_cell_length_a 4.4429
_cell_length_b 3.1355
_cell_length_c 13.1505
_cell_angle_alpha 90.00
_cell_angle_beta 90.00
_cell_angle_gamma 90.00
_space_group_name_H-M_alt 'A m m 2'
_space_group_IT_number 38
_space_group_name_Hall 'A 2 -2'
loop_
_atom_site_label
_atom_site_type_symbol
_atom_site_fract_x
_atom_site_fract_y
_atom_site_fract_z
_atom_site_occupancy
Ti1 Ti 0.0000 0.0000 0.0000 1
Ti2 Ti 0.5000 0.0000 0.1657 1
Mo1 Mo 0.5000 0.0000 0.4919 1
Mo2 Mo 0.5000 0.0000 0.8290 1
Rh1 Rh 0.0000 0.0000 0.3408 1
Rh2 Rh 0.0000 0.0000 0.6586 1
```

***

[8]
Diffraction record for V2Mo3Rh8. The powder X-ray diffraction pattern is simulated, not measured: it uses DFT lattice parameters and positions (GGA-PBE) and CuKα.
Kinematic intensities with the Lorentz-polarization factor, no thermal factor.

Most intense lines, 2θ = 10–80°, in order of falling intensity:
- 2.161 Å, I = 100, hkl 2 0 2
- 2.086 Å, I = 35, hkl 0 2 4
- 2.211 Å, I = 22, hkl 1 1 6
- 1.265 Å, I = 20, hkl 2 2 0
- 2.529 Å, I = 19, hkl 1 1 0
- 1.377 Å, I = 19, hkl 1 2 11

```
data_V2Mo3Rh8
_cell_length_a 5.0587
_cell_length_b 5.0587
_cell_length_c 27.2926
_cell_angle_alpha 90.00
_cell_angle_beta 90.00
_cell_angle_gamma 120.00
_space_group_name_H-M_alt 'R -3 m'
_space_group_IT_number 166
_space_group_name_Hall '-R 3 2"'
loop_
_atom_site_label
_atom_site_type_symbol
_atom_site_fract_x
_atom_site_fract_y
_atom_site_fract_z
_atom_site_occupancy
V1 V 0.0000 0.0000 0.1368 1
Mo1 Mo 0.0000 0.0000 0.3120 1
Mo2 Mo 0.0000 0.0000 0.5000 1
Rh1 Rh 0.0000 0.0000 0.2176 1
Rh2 Rh 0.0038 0.5019 0.2684 1
```

***

[9]
Diffraction record for V2MoRh3. The powder X-ray diffraction pattern is simulated, not measured: it uses DFT lattice parameters and positions (GGA-PBE) and CuKα.
Kinematic intensities with the Lorentz-polarization factor, no thermal factor.

Most intense lines, 2θ = 10–80°, in order of falling intensity:
- 2.214 Å, I = 100, hkl 1 0 3
- 1.939 Å, I = 33, hkl 1 1 0
- 1.349 Å, I = 18, hkl 1 1 6
- 1.877 Å, I = 14, hkl 0 0 6
- 1.371 Å, I = 10, hkl 2 0 0
- 3.754 Å, I = 5, hkl 0 0 3

```
data_V2MoRh3
_cell_length_a 2.7417
_cell_length_b 2.7417
_cell_length_c 11.2624
_cell_angle_alpha 90.00
_cell_angle_beta 90.00
_cell_angle_gamma 90.00
_space_group_name_H-M_alt 'P 4/m m m'
_space_group_IT_number 123
_space_group_name_Hall '-P 4 2'
loop_
_atom_site_label
_atom_site_type_symbol
_atom_site_fract_x
_atom_site_fract_y
_atom_site_fract_z
_atom_site_occupancy
V1 V 0.0000 0.0000 0.1623 1
Mo1 Mo 0.0000 0.0000 0.5000 1
Rh1 Rh 0.5000 0.5000 0.0000 1
Rh2 Rh 0.5000 0.5000 0.3242 1
```

***

[10]
Diffraction record for V4MoRh7. The powder X-ray diffraction pattern is simulated, not measured: it uses DFT lattice parameters and positions (GGA-PBE) and CuKα.
Kinematic intensities with the Lorentz-polarization factor, no thermal factor.

Most intense lines, 2θ = 10–80°, in order of falling intensity:
- 2.267 Å, I = 100, hkl 0 2 0
- 2.094 Å, I = 88, hkl 3 1 1
- 3.130 Å, I = 67, hkl 1 1 -2
- 1.986 Å, I = 60, hkl 5 1 -3
- 2.684 Å, I = 56, hkl 4 0 -1
- 2.163 Å, I = 46, hkl 2 0 -4

```
data_V4MoRh7
_cell_length_a 11.3043
_cell_length_b 4.5350
_cell_length_c 8.8926
_cell_angle_alpha 90.00
_cell_angle_beta 125.83
_cell_angle_gamma 90.00
_space_group_name_H-M_alt 'C 1 2/m 1'
_space_group_IT_number 12
_space_group_name_Hall '-C 2y'
loop_
_atom_site_label
_atom_site_type_symbol
_atom_site_fract_x
_atom_site_fract_y
_atom_site_fract_z
_atom_site_occupancy
V1 V 0.0742 0.0000 0.2805 1
V2 V 0.2125 0.0000 0.8402 1
Mo1 Mo 0.0000 0.5000 0.5000 1
Rh1 Rh 0.0000 0.0000 0.5000 1
Rh2 Rh 0.0759 0.5000 0.8502 1
Rh3 Rh 0.1548 0.0000 0.0946 1
Rh4 Rh 0.2184 0.5000 0.3778 1
```

***

[11]
Diffraction record for V9Mo4Rh11. The powder X-ray diffraction pattern is simulated, not measured: it uses DFT lattice parameters and positions (GGA-PBE) and CuKα.
Kinematic intensities with the Lorentz-polarization factor, no thermal factor.

Most intense lines, 2θ = 10–80°, in order of falling intensity:
- 2.214 Å, I = 100, hkl 6 4 0
- 2.222 Å, I = 100, hkl 0 4 1
- 1.917 Å, I = 57, hkl 6 0 1
- 1.928 Å, I = 35, hkl 6 0 -1
- 1.356 Å, I = 20, hkl 12 0 0
- 1.364 Å, I = 12, hkl 0 0 2

```
data_V9Mo4Rh11
_cell_length_a 16.2736
_cell_length_b 15.3284
_cell_length_c 2.7272
_cell_angle_alpha 90.00
_cell_angle_beta 90.27
_cell_angle_gamma 90.00
_space_group_name_H-M_alt 'C 1 2/m 1'
_space_group_IT_number 12
_space_group_name_Hall '-C 2y'
loop_
_atom_site_label
_atom_site_type_symbol
_atom_site_fract_x
_atom_site_fract_y
_atom_site_fract_z
_atom_site_occupancy
V1 V 0.0000 0.0000 0.0000 1
V2 V 0.0921 0.3844 0.0007 1
V3 V 0.2379 0.1223 0.9990 1
Mo1 Mo 0.0815 0.1422 0.9900 1
Rh1 Rh 0.0000 0.2771 0.5000 1
Rh2 Rh 0.0000 0.5000 0.5000 1
Rh3 Rh 0.1500 0.0000 0.4952 1
Rh4 Rh 0.1690 0.2622 0.4974 1
Rh5 Rh 0.1772 0.5000 0.5014 1
```

***

[12]
Diffraction record for Mo2RhW. The powder X-ray diffraction pattern is simulated, not measured: it uses DFT lattice parameters and positions (GGA-PBE) and CuKα.
Kinematic intensities with the Lorentz-polarization factor, no thermal factor.

Most intense lines, 2θ = 10–80°, in order of falling intensity:
- 2.248 Å, I = 100, hkl 1 1 2
- 2.176 Å, I = 23, hkl 0 2 0
- 2.163 Å, I = 22, hkl 0 0 4
- 8.650 Å, I = 19, hkl 0 0 1
- 1.270 Å, I = 16, hkl 1 3 2
- 1.264 Å, I = 15, hkl 1 1 6

```
data_Mo2RhW
_cell_length_a 3.3041
_cell_length_b 4.3524
_cell_length_c 8.6503
_cell_angle_alpha 90.00
_cell_angle_beta 90.00
_cell_angle_gamma 90.00
_space_group_name_H-M_alt 'C m m 2'
_space_group_IT_number 35
_space_group_name_Hall 'C 2 -2'
loop_
_atom_site_label
_atom_site_type_symbol
_atom_site_fract_x
_atom_site_fract_y
_atom_site_fract_z
_atom_site_occupancy
Mo1 Mo 0.0000 0.0000 0.0000 1
Mo2 Mo 0.0000 0.5000 0.2567 1
Rh1 Rh 0.0000 0.5000 0.7562 1
W1 W 0.0000 0.0000 0.5147 1
```

***

[13]
Diffraction record for ZrMoRh2. The powder X-ray diffraction pattern is simulated, not measured: it uses DFT lattice parameters and positions (GGA-PBE) and CuKα.
Kinematic intensities with the Lorentz-polarization factor, no thermal factor.

Most intense lines, 2θ = 10–80°, in order of falling intensity:
- 2.323 Å, I = 100, hkl 1 1 0
- 2.316 Å, I = 97, hkl 0 1 2
- 2.051 Å, I = 67, hkl 1 0 2
- 1.406 Å, I = 38, hkl 1 2 2
- 1.931 Å, I = 29, hkl 0 2 0
- 1.231 Å, I = 25, hkl 2 1 2

```
data_ZrMoRh2
_cell_length_a 2.9076
_cell_length_b 3.8622
_cell_length_c 5.7863
_cell_angle_alpha 90.00
_cell_angle_beta 90.00
_cell_angle_gamma 90.00
_space_group_name_H-M_alt 'P m m m'
_space_group_IT_number 47
_space_group_name_Hall '-P 2 2'
loop_
_atom_site_label
_atom_site_type_symbol
_atom_site_fract_x
_atom_site_fract_y
_atom_site_fract_z
_atom_site_occupancy
Zr1 Zr 0.0000 0.0000 0.0000 1
Mo1 Mo 0.0000 0.0000 0.5000 1
Rh1 Rh 0.5000 0.5000 0.2647 1
```

***

[14]
Diffraction record for ZrMo2Rh. The powder X-ray diffraction pattern is simulated, not measured: it uses DFT lattice parameters and positions (GGA-PBE) and CuKα.
Kinematic intensities with the Lorentz-polarization factor, no thermal factor.

Most intense lines, 2θ = 10–80°, in order of falling intensity:
- 2.279 Å, I = 100, hkl 2 2 0
- 1.316 Å, I = 33, hkl 4 2 2
- 1.612 Å, I = 16, hkl 4 0 0

```
data_ZrMo2Rh
_cell_length_a 6.4462
_cell_length_b 6.4462
_cell_length_c 6.4462
_cell_angle_alpha 90.00
_cell_angle_beta 90.00
_cell_angle_gamma 90.00
_space_group_name_H-M_alt 'F -4 3 m'
_space_group_IT_number 216
_space_group_name_Hall 'F -4 2 3'
loop_
_atom_site_label
_atom_site_type_symbol
_atom_site_fract_x
_atom_site_fract_y
_atom_site_fract_z
_atom_site_occupancy
Zr1 Zr 0.0000 0.0000 0.0000 1
Mo1 Mo 0.0000 0.0000 0.5000 1
Mo2 Mo 0.2500 0.2500 0.7500 1
Rh1 Rh 0.2500 0.2500 0.2500 1
```

***

[15]
Diffraction record for Zr2MoRh2. The powder X-ray diffraction pattern is simulated, not measured: it uses DFT lattice parameters and positions (GGA-PBE) and CuKα.
Kinematic intensities with the Lorentz-polarization factor, no thermal factor.

Most intense lines, 2θ = 10–80°, in order of falling intensity:
- 2.422 Å, I = 100, hkl 2 1 1
- 2.118 Å, I = 35, hkl 3 1 0
- 1.476 Å, I = 23, hkl 3 1 2
- 2.598 Å, I = 22, hkl 2 0 1
- 2.057 Å, I = 22, hkl 0 0 2
- 1.247 Å, I = 12, hkl 2 1 3

```
data_Zr2MoRh2
_cell_length_a 6.6988
_cell_length_b 6.6988
_cell_length_c 4.1146
_cell_angle_alpha 90.00
_cell_angle_beta 90.00
_cell_angle_gamma 90.00
_space_group_name_H-M_alt 'P 4/m b m'
_space_group_IT_number 127
_space_group_name_Hall '-P 4 2ab'
loop_
_atom_site_label
_atom_site_type_symbol
_atom_site_fract_x
_atom_site_fract_y
_atom_site_fract_z
_atom_site_occupancy
Zr1 Zr 0.1754 0.3246 0.0000 1
Mo1 Mo 0.0000 0.0000 0.5000 1
Rh1 Rh 0.1368 0.6368 0.5000 1
```